For Rb3BaZn2F9, the PBE geometry in Alexandria gives the computed powder XRD pattern in this record (CuKα).

Main lines, sorted by position (10° ≤ 2θ ≤ 80°):
index  Position (°2θ)  d (Å)  intensity
0 1 1  19.81  4.482  20.2
0 1 2  27.33  3.263  100.0
1 1 0  28.97  3.083  92.2
2 0 2  40.24  2.241  75.8
1 2 2  50.34  1.813  33.6
2 2 0  60.02  1.541  23.0

Structural model:
a b c (Å): 6.1653 6.1653 8.2456
angles (deg): 90.00 90.00 120.00
Space group P-3m1 (No. 164)
One atom of each set of equivalent atoms:
Rb: 0.0000 0.0000 0.0000
Rb: 0.3333 0.6667 0.7279
Ba: 0.0000 0.0000 0.5000
Zn: 0.3333 0.6667 0.1502
F: 0.0000 0.5000 0.0000
F: 0.1771 0.3543 0.2912